(1)
Starting from the PBE geometry in Alexandria, the powder diffraction line list of Th6FeSn3 was calculated for Cu Ka.
Kinematic intensities with the Lorentz-polarization factor, no thermal factor.

```
Th6FeSn3
1.0
5.621 3.245 5.343
-5.621 3.245 5.343
0.000 -6.491 5.343
Th Fe Sn
12 2 6
direct
0.121 0.791 0.791
0.184 0.514 0.514
0.209 0.209 0.879
0.209 0.879 0.209
0.486 0.486 0.816
0.486 0.816 0.486
0.514 0.184 0.514
0.514 0.514 0.184
0.791 0.121 0.791
0.791 0.791 0.121
0.816 0.486 0.486
0.879 0.209 0.209
0.000 0.000 0.000
0.500 0.500 0.500
0.126 0.126 0.508
0.126 0.508 0.126
0.492 0.874 0.874
0.508 0.126 0.126
0.874 0.492 0.874
0.874 0.874 0.492
```

Main lines, in order of falling intensity (5° ≤ 2θ ≤ 70°):
d [Å]	I/Imax
2.774	100
3.245	23
1.874	23
2.672	17
1.534	17
1.553	16
2.063	14
1.561	11
3.706	7
2.710	6

(2)
Starting from the PBE geometry in Alexandria, the powder diffraction line list of Ti3FeSn3 was calculated for Cu Ka.
Kinematic intensities with the Lorentz-polarization factor, no thermal factor.

```
Ti3FeSn3
1.0
10.251 0.000 0.000
-5.126 8.878 0.000
0.000 0.000 3.286
Ti Fe Sn
6 2 6
direct
0.133 0.567 0.250
0.433 0.567 0.250
0.433 0.867 0.250
0.567 0.133 0.750
0.567 0.433 0.750
0.867 0.433 0.750
0.333 0.667 0.750
0.667 0.333 0.250
0.172 0.343 0.750
0.172 0.828 0.750
0.343 0.172 0.250
0.657 0.828 0.750
0.828 0.172 0.250
0.828 0.657 0.250
```

Main lines, in order of falling intensity (5° ≤ 2θ ≤ 70°):
d [Å]	I/Imax
2.641	100
2.563	86
2.348	77
4.439	51
1.494	46
1.383	26
2.219	26
1.970	25
8.878	20
1.731	20

(3)
Starting from the PBE geometry in Alexandria, the powder diffraction line list of Tm6FeSn3 was calculated for Cu Ka.
Kinematic intensities with the Lorentz-polarization factor, no thermal factor.

```
Tm6FeSn3
1.0
6.460 3.730 4.038
-6.460 3.730 4.038
0.000 -7.459 4.038
Tm Fe Sn
12 2 6
direct
0.013 0.944 0.694
0.056 0.306 0.987
0.199 0.555 0.428
0.306 0.987 0.056
0.428 0.199 0.555
0.445 0.572 0.801
0.555 0.428 0.199
0.572 0.801 0.445
0.694 0.013 0.944
0.801 0.445 0.572
0.944 0.694 0.013
0.987 0.056 0.306
0.000 0.000 0.000
0.500 0.500 0.500
0.119 0.305 0.644
0.305 0.644 0.119
0.356 0.881 0.695
0.644 0.119 0.305
0.695 0.356 0.881
0.881 0.695 0.356
```

Main lines, in order of falling intensity (5° ≤ 2θ ≤ 70°):
d [Å]	I/Imax
2.762	100
2.462	75
2.924	48
2.442	48
2.364	44
3.468	40
3.993	28
2.540	23
3.006	22
1.712	22

(4)
Starting from the PBE geometry in Alexandria, the powder diffraction line list of V8Fe2Sn was calculated for Cu Ka.
Kinematic intensities with the Lorentz-polarization factor, no thermal factor.

```
V8Fe2Sn
1.0
5.593 -2.565 0.000
5.593 2.565 0.000
-1.161 0.000 5.370
V Fe Sn
8 2 1
direct
0.097 0.097 0.410
0.114 0.676 0.081
0.286 0.286 0.714
0.324 0.886 0.919
0.676 0.114 0.081
0.714 0.714 0.286
0.886 0.324 0.919
0.903 0.903 0.590
0.270 0.270 0.259
0.730 0.730 0.741
0.500 0.500 0.500
```

Main lines, in order of falling intensity (5° ≤ 2θ ≤ 70°):
d [Å]	I/Imax
2.231	100
2.314	91
2.189	71
2.011	66
1.870	41
2.065	41
1.840	39
3.680	31
2.675	30
2.017	26

(5)
Starting from the PBE geometry in Alexandria, the powder diffraction line list of Y6Fe2Sn was calculated for Cu Ka.
Kinematic intensities with the Lorentz-polarization factor, no thermal factor.

```
Y6Fe2Sn
1.0
-4.715 4.859 5.017
4.715 -4.859 5.017
4.715 4.859 -5.017
Y Fe Sn
12 4 2
direct
0.032 0.238 0.794
0.184 0.281 0.465
0.184 0.719 0.903
0.329 0.015 0.685
0.329 0.644 0.315
0.444 0.238 0.206
0.556 0.762 0.794
0.671 0.356 0.685
0.671 0.985 0.315
0.816 0.281 0.097
0.816 0.719 0.535
0.968 0.762 0.206
0.108 0.608 0.500
0.333 0.000 0.333
0.667 0.000 0.667
0.892 0.392 0.500
0.000 0.000 0.000
0.500 0.500 0.000
```

Main lines, in order of falling intensity (5° ≤ 2θ ≤ 70°):
d [Å]	I/Imax
2.805	100
2.615	59
2.580	41
2.356	37
2.626	29
2.991	27
1.550	24
2.552	22
2.508	16
1.583	15

(6)
Starting from the PBE geometry in Alexandria, the powder diffraction line list of Zn2FeSn was calculated for Cu Ka.
Kinematic intensities with the Lorentz-polarization factor, no thermal factor.

```
Zn2FeSn
1.0
-3.740 3.740 2.551
3.740 -3.740 2.551
3.740 3.740 -2.551
Zn Fe Sn
4 2 2
direct
0.084 0.625 0.959
0.375 0.334 0.459
0.666 0.125 0.041
0.875 0.916 0.541
0.000 0.000 0.000
0.750 0.250 0.500
0.250 0.750 0.500
0.500 0.500 0.000
```

Main lines, in order of falling intensity (5° ≤ 2θ ≤ 70°):
d [Å]	I/Imax
2.645	100
2.298	75
1.735	56
1.870	32
2.798	26
1.450	14
2.240	12
1.436	9
3.740	6
1.709	5